Theoretical powder diffraction line list
Compound: NaTl
Radiation: Cu Kα, 1.54184 Å
Structure: a structure optimized by DFT (GGA-PBE)
Lines closer than 0.1° are merged.

a b c (Å): 7.6777 7.6777 7.6777
angles (deg): 90.00 90.00 90.00
Sites, in units of the cell vectors:
Na  0.1250  0.1250  0.1250
Na  0.1250  0.6250  0.6250
Na  0.3750  0.3750  0.8750
Na  0.3750  0.8750  0.3750
Na  0.6250  0.1250  0.6250
Na  0.6250  0.6250  0.1250
Na  0.8750  0.3750  0.3750
Na  0.8750  0.8750  0.8750
Tl  0.1250  0.1250  0.6250
Tl  0.1250  0.6250  0.1250
Tl  0.3750  0.3750  0.3750
Tl  0.3750  0.8750  0.8750
Tl  0.6250  0.1250  0.1250
Tl  0.6250  0.6250  0.6250
Tl  0.8750  0.3750  0.8750
Tl  0.8750  0.8750  0.3750

Largest 6 diffraction maxima, sorted by position, 2θ = 10–90°:
- 4.433 Å, I 69
- 2.714 Å, I 100
- 2.315 Å, I 39
- 1.919 Å, I 18
- 1.761 Å, I 18
- 1.567 Å, I 38

=====

Theoretical powder diffraction line list
Compound: Li5CrS4
Radiation: Cu Kα, 1.54184 Å
Structure: a structure optimized by DFT (GGA-PBE)
Lines closer than 0.1° are merged.

a b c (Å): 7.6021 7.6021 7.6021
angles (deg): 151.55 127.11 61.15
Sites, in units of the cell vectors:
Li  0.0000  0.0000  0.0000
Li  0.1075  0.3225  0.7850
Li  0.4625  0.6775  0.7850
Li  0.5375  0.3225  0.2150
Li  0.8925  0.6775  0.2150
Cr  0.5000  0.0000  0.5000
S  0.2572  0.5000  0.7572
S  0.3020  0.8020  0.5000
S  0.6980  0.1980  0.5000
S  0.7428  0.5000  0.2428

Largest 6 diffraction maxima, sorted by position, 2θ = 10–90°:
- 6.545 Å, I 38
- 6.014 Å, I 100
- 3.272 Å, I 82
- 2.464 Å, I 80
- 2.442 Å, I 24
- 1.811 Å, I 51

=====

Theoretical powder diffraction line list
Compound: PrBN2
Radiation: Cu Kα, 1.54184 Å
Structure: a structure optimized by DFT (GGA-PBE)
Lines closer than 0.1° are merged.

a b c (Å): 7.4466 7.4466 7.4466
angles (deg): 110.47 110.47 110.47
Sites, in units of the cell vectors:
Pr  0.2044  0.7500  0.2956
Pr  0.2500  0.7044  0.7956
Pr  0.2956  0.2044  0.7500
Pr  0.7044  0.7956  0.2500
Pr  0.7500  0.2956  0.2044
Pr  0.7956  0.2500  0.7044
B  0.1310  0.2500  0.3690
B  0.2500  0.3690  0.1310
B  0.3690  0.1310  0.2500
B  0.6310  0.8690  0.7500
B  0.7500  0.6310  0.8690
B  0.8690  0.7500  0.6310
N  0.0095  0.2500  0.4905
N  0.1283  0.3717  0.2500
N  0.2500  0.1283  0.3717
N  0.2500  0.4905  0.0095
N  0.3717  0.2500  0.1283
N  0.4905  0.0095  0.2500
N  0.5095  0.9905  0.7500
N  0.6283  0.7500  0.8717
N  0.7500  0.5095  0.9905
N  0.7500  0.8717  0.6283
N  0.8717  0.6283  0.7500
N  0.9905  0.7500  0.5095

Largest 6 diffraction maxima, sorted by position, 2θ = 10–90°:
- 6.117 Å, I 61
- 3.485 Å, I 29
- 3.059 Å, I 50
- 2.941 Å, I 100
- 2.714 Å, I 78
- 1.838 Å, I 37

=====

Theoretical powder diffraction line list
Compound: Eu3OsO7
Radiation: Cu Kα, 1.54184 Å
Structure: a structure optimized by DFT (GGA-PBE)
Lines closer than 0.1° are merged.

a b c (Å): 6.6346 6.6346 7.5401
angles (deg): 90.00 90.00 69.68
Sites, in units of the cell vectors:
Eu  0.0000  0.0000  0.0000
Eu  0.0000  0.0000  0.5000
Eu  0.0459  0.4852  0.7500
Eu  0.4852  0.0459  0.2500
Eu  0.5148  0.9541  0.7500
Eu  0.9541  0.5148  0.2500
Os  0.5000  0.5000  0.0000
Os  0.5000  0.5000  0.5000
O  0.1173  0.1497  0.2500
O  0.1497  0.1173  0.7500
O  0.1957  0.5559  0.0278
O  0.1957  0.5559  0.4722
O  0.4441  0.8043  0.0278
O  0.4441  0.8043  0.4722
O  0.4495  0.5505  0.7500
O  0.5505  0.4495  0.2500
O  0.5559  0.1957  0.5278
O  0.5559  0.1957  0.9722
O  0.8043  0.4441  0.5278
O  0.8043  0.4441  0.9722
O  0.8503  0.8827  0.2500
O  0.8827  0.8503  0.7500

Largest 6 diffraction maxima, sorted by position, 2θ = 10–90°:
- 3.111 Å, I 100
- 3.100 Å, I 99
- 2.673 Å, I 49
- 1.907 Å, I 54
- 1.636 Å, I 26
- 1.612 Å, I 30

=====

Theoretical powder diffraction line list
Compound: LiSb2P5O18
Radiation: Cu Kα, 1.54184 Å
Structure: a structure optimized by DFT (GGA-PBE)
Lines closer than 0.1° are merged.

a b c (Å): 6.6090 9.7246 10.2032
angles (deg): 95.12 93.28 92.90
Sites, in units of the cell vectors:
Li  0.1120  0.1865  0.1948
Li  0.8880  0.8135  0.8052
Sb  0.2374  0.3445  0.9123
Sb  0.3394  0.7734  0.4584
Sb  0.6606  0.2266  0.5416
Sb  0.7626  0.6555  0.0877
P  0.1642  0.2749  0.5941
P  0.1776  0.5738  0.6836
P  0.2112  0.0112  0.9122
P  0.2744  0.5984  0.1478
P  0.4779  0.0320  0.2865
P  0.5221  0.9680  0.7135
P  0.7256  0.4016  0.8522
P  0.7888  0.9888  0.0878
P  0.8224  0.4262  0.3164
P  0.8358  0.7251  0.4059
O  0.0037  0.6609  0.7029
O  0.0324  0.8057  0.4615
O  0.0350  0.9830  0.8148
O  0.0753  0.6629  0.1057
O  0.1030  0.4302  0.5957
O  0.2162  0.1689  0.9904
O  0.2267  0.2437  0.7344
O  0.2484  0.4395  0.0972
O  0.2600  0.9149  0.0125
O  0.2790  0.5237  0.8132
O  0.3147  0.6143  0.3020
O  0.3377  0.9056  0.3235
O  0.3416  0.6316  0.5930
O  0.3486  0.2462  0.5133
O  0.3580  0.9332  0.5931
O  0.3723  0.1554  0.2541
O  0.4073  0.0396  0.8258
O  0.4550  0.6611  0.0783
O  0.5450  0.3389  0.9217
O  0.5927  0.9604  0.1742
O  0.6277  0.8446  0.7459
O  0.6420  0.0668  0.4069
O  0.6514  0.7538  0.4867
O  0.6584  0.3684  0.4070
O  0.6623  0.0945  0.6765
O  0.6853  0.3857  0.6980
O  0.7210  0.4763  0.1868
O  0.7400  0.0851  0.9875
O  0.7516  0.5605  0.9028
O  0.7733  0.7563  0.2656
O  0.7838  0.8311  0.0096
O  0.8970  0.5698  0.4043
O  0.9247  0.3371  0.8943
O  0.9650  0.0170  0.1852
O  0.9676  0.1943  0.5385
O  0.9963  0.3391  0.2971

Largest 6 diffraction maxima, sorted by position, 2θ = 10–90°:
- 7.346 Å, I 68
- 4.898 Å, I 100
- 4.527 Å, I 66
- 3.349 Å, I 51
- 3.291 Å, I 55
- 3.211 Å, I 30

=====

Theoretical powder diffraction line list
Compound: Nd2CuO4
Radiation: Cu Kα, 1.54184 Å
Structure: a structure optimized by DFT (GGA-PBE)
Lines closer than 0.1° are merged.

a b c (Å): 5.6355 5.6435 6.5237
angles (deg): 90.00 113.06 90.00
Sites, in units of the cell vectors:
Nd  0.1553  0.0000  0.2990
Nd  0.3447  0.5000  0.7010
Nd  0.6553  0.5000  0.2990
Nd  0.8447  0.0000  0.7010
Cu  0.0000  0.5000  0.0000
Cu  0.5000  0.0000  0.0000
O  0.0000  0.2526  0.5000
O  0.0000  0.7474  0.5000
O  0.2500  0.2500  0.0000
O  0.2500  0.7500  0.0000
O  0.5000  0.2474  0.5000
O  0.5000  0.7526  0.5000
O  0.7500  0.2500  0.0000
O  0.7500  0.7500  0.0000

Largest 6 diffraction maxima, sorted by position, 2θ = 10–90°:
- 3.748 Å, I 20
- 2.869 Å, I 100
- 2.818 Å, I 67
- 2.781 Å, I 89
- 1.993 Å, I 51
- 1.638 Å, I 21